The following is a simulated PXRD pattern of Rb4CuSi2O7. It was derived from a cell relaxed with PBE, using CuKα.
Intensities are scaled so that the largest is 100.

Structural model:
```
Rb4CuSi2O7
1.0
6.371 0.000 0.000
-2.244 6.862 0.000
-1.293 -3.612 6.203
Rb Cu Si O
4 1 2 7
Direct
0.069 0.043 0.278
0.322 0.578 0.215
0.678 0.422 0.785
0.931 0.957 0.722
0.500 0.000 0.000
0.215 0.580 0.723
0.785 0.420 0.277
0.000 0.500 0.500
0.183 0.769 0.933
0.202 0.358 0.734
0.473 0.741 0.732
0.527 0.259 0.268
0.798 0.642 0.266
0.817 0.231 0.067
```

Principal peaks in the range 5 to 70 degrees two-theta, sorted by position:
24.77°, I 35
26.00°, I 84
27.34°, I 100
28.51°, I 68
28.78°, I 45
30.14°, I 30
30.31°, I 20
32.11°, I 63
35.02°, I 32
36.23°, I 47
38.19°, I 31
46.62°, I 23


The following is a simulated PXRD pattern of RbTbCu2O4. It was derived from a cell relaxed with PBE, using CuKα.
Intensities are scaled so that the largest is 100.

Structural model:
```
RbTbCu2O4
1.0
3.895 0.000 0.000
0.000 3.895 0.000
0.000 0.000 7.520
Rb Tb Cu O
1 1 2 4
Direct
0.000 0.000 0.000
0.000 0.000 0.500
0.500 0.500 0.292
0.500 0.500 0.708
0.000 0.500 0.309
0.000 0.500 0.691
0.500 0.000 0.309
0.500 0.000 0.691
```

Principal peaks in the range 5 to 70 degrees two-theta, sorted by position:
11.77°, I 39
22.83°, I 11
32.51°, I 39
33.11°, I 100
40.60°, I 13
42.90°, I 11
46.64°, I 28
48.42°, I 6
58.39°, I 38
59.53°, I 13
68.09°, I 8
69.49°, I 8


The following is a simulated PXRD pattern of Rb2CuTeO4. It was derived from a cell relaxed with PBE, using CuKα.
Intensities are scaled so that the largest is 100.

Structural model:
```
Rb2CuTeO4
1.0
6.301 0.000 0.000
0.000 6.301 0.000
0.000 0.000 7.731
Rb Cu Te O
4 2 2 8
Direct
0.000 0.000 0.000
0.000 0.500 0.250
0.500 0.000 0.750
0.500 0.500 0.500
0.000 0.000 0.500
0.500 0.500 0.000
0.000 0.500 0.750
0.500 0.000 0.250
0.123 0.732 0.606
0.232 0.377 0.894
0.268 0.123 0.394
0.377 0.768 0.106
0.623 0.232 0.106
0.732 0.877 0.394
0.768 0.623 0.894
0.877 0.268 0.606
```

Principal peaks in the range 5 to 70 degrees two-theta, sorted by position:
18.16°, I 8
19.93°, I 4
28.33°, I 50
30.62°, I 100
40.49°, I 23
47.02°, I 6
51.61°, I 45
55.80°, I 20
58.60°, I 7
63.75°, I 12
66.34°, I 12
67.57°, I 10


The following is a simulated PXRD pattern of RbTmCuO2. It was derived from a cell relaxed with PBE, using CuKα.
Intensities are scaled so that the largest is 100.

Structural model:
```
RbTmCuO2
1.0
7.191 0.000 0.000
0.000 5.621 0.000
-1.561 0.000 6.358
Rb Tm Cu O
2 2 2 4
Direct
0.000 0.194 0.250
0.000 0.806 0.750
0.500 0.484 0.750
0.500 0.516 0.250
0.500 0.000 0.000
0.500 0.000 0.500
0.379 0.296 0.458
0.379 0.704 0.958
0.621 0.296 0.042
0.621 0.704 0.542
```

Principal peaks in the range 5 to 70 degrees two-theta, sorted by position:
12.68°, I 100
20.28°, I 40
22.87°, I 22
25.51°, I 68
32.23°, I 46
32.35°, I 27
34.40°, I 46
37.03°, I 20
37.36°, I 33
45.41°, I 19
50.94°, I 19
57.04°, I 18


The following is a simulated PXRD pattern of Rb2UCu2O6. It was derived from a cell relaxed with PBE, using CuKα.
Intensities are scaled so that the largest is 100.

Structural model:
```
Rb2UCu2O6
1.0
3.036 1.753 5.965
-3.036 1.753 5.965
0.000 -3.506 5.965
Rb U Cu O
2 1 2 6
Direct
0.215 0.215 0.215
0.785 0.785 0.785
0.000 0.000 0.000
0.409 0.409 0.409
0.591 0.591 0.591
0.229 0.229 0.756
0.229 0.756 0.229
0.244 0.771 0.771
0.756 0.229 0.229
0.771 0.244 0.771
0.771 0.771 0.244
```

Principal peaks in the range 5 to 70 degrees two-theta, sorted by position:
14.85°, I 17
17.58°, I 32
19.58°, I 27
26.15°, I 24
29.42°, I 100
30.20°, I 99
39.76°, I 20
42.67°, I 33
52.18°, I 20
52.67°, I 44
61.04°, I 18
69.61°, I 18